Record 1
Simulated powder XRD pattern of BaNaSi for Cu Kα X-rays, from a cell relaxed with PBE.
Neutral-atom scattering factors, no anomalous dispersion.

Most intense lines, 2θ from 10° to 80°, in order of rising 2θ:
2θ 18.55, intensity 348; 2θ 23.31, intensity 308; 2θ 27.96, intensity 256; 2θ 28.60, intensity 1000; 2θ 31.27, intensity 605; 2θ 36.12, intensity 205

Cell lengths 10.371, 10.371, 4.124 Å; angles 90.00, 90.00, 152.53 degrees
Fractional positions:
Ba 0.088 0.912 0.750
Ba 0.912 0.088 0.250
Na 0.295 0.705 0.750
Na 0.705 0.295 0.250
Si 0.466 0.534 0.750
Si 0.534 0.466 0.250

---

Record 2
Simulated powder XRD pattern of Ba3NaSi23 for Cu Kα X-rays, from a cell relaxed with PBE.
Neutral-atom scattering factors, no anomalous dispersion.

Most intense lines, 2θ from 10° to 80°, in order of rising 2θ:
2θ 19.22, intensity 508; 2θ 29.98, intensity 718; 2θ 31.23, intensity 877; 2θ 32.45, intensity 1000; 2θ 51.62, intensity 430; 2θ 54.81, intensity 422

Cell lengths 10.325, 10.325, 10.325 Å; angles 90.00, 90.00, 90.00 degrees
Fractional positions:
Ba 0.000 0.250 0.500
Ba 0.000 0.750 0.500
Ba 0.250 0.500 0.000
Ba 0.500 0.000 0.250
Ba 0.500 0.000 0.750
Ba 0.750 0.500 0.000
Na 0.000 0.000 0.000
Na 0.500 0.500 0.500
Si 0.000 0.305 0.121
Si 0.000 0.305 0.879
Si 0.000 0.500 0.250
Si 0.000 0.500 0.750
Si 0.000 0.695 0.121
Si 0.000 0.695 0.879
Si 0.121 0.000 0.305
Si 0.121 0.000 0.695
Si 0.184 0.184 0.184
Si 0.184 0.184 0.816
Si 0.184 0.816 0.184
Si 0.184 0.816 0.816
Si 0.195 0.500 0.379
Si 0.195 0.500 0.621
Si 0.250 0.000 0.500
Si 0.305 0.121 0.000
Si 0.305 0.879 0.000
Si 0.316 0.316 0.316
Si 0.316 0.316 0.684
Si 0.316 0.684 0.316
Si 0.316 0.684 0.684
Si 0.379 0.195 0.500
Si 0.379 0.805 0.500
Si 0.500 0.250 0.000
Si 0.500 0.379 0.195
Si 0.500 0.379 0.805
Si 0.500 0.621 0.195
Si 0.500 0.621 0.805
Si 0.500 0.750 0.000
Si 0.621 0.195 0.500
Si 0.621 0.805 0.500
Si 0.684 0.316 0.316
Si 0.684 0.316 0.684
Si 0.684 0.684 0.316
Si 0.684 0.684 0.684
Si 0.695 0.121 0.000
Si 0.695 0.879 0.000
Si 0.750 0.000 0.500
Si 0.805 0.500 0.379
Si 0.805 0.500 0.621
Si 0.816 0.184 0.184
Si 0.816 0.184 0.816
Si 0.816 0.816 0.184
Si 0.816 0.816 0.816
Si 0.879 0.000 0.305
Si 0.879 0.000 0.695

---

Record 3
Simulated powder XRD pattern of Ba3Na2Sn4 for Cu Kα X-rays, from a cell relaxed with PBE.
Neutral-atom scattering factors, no anomalous dispersion.

Most intense lines, 2θ from 10° to 80°, in order of rising 2θ:
2θ 20.72, intensity 802; 2θ 27.57, intensity 382; 2θ 31.10, intensity 1000; 2θ 31.59, intensity 411; 2θ 33.07, intensity 699; 2θ 33.97, intensity 536

Cell lengths 5.278, 6.739, 10.268 Å; angles 97.34, 90.03, 113.04 degrees
Fractional positions:
Ba 0.000 0.000 0.000
Ba 0.381 0.763 0.606
Ba 0.619 0.237 0.394
Na 0.320 0.641 0.225
Na 0.680 0.359 0.775
Sn 0.092 0.183 0.659
Sn 0.278 0.555 0.916
Sn 0.722 0.445 0.084
Sn 0.908 0.817 0.341

---

Record 4
Simulated powder XRD pattern of BaNa4Sn4 for Cu Kα X-rays, from a cell relaxed with PBE.
Neutral-atom scattering factors, no anomalous dispersion.

Most intense lines, 2θ from 10° to 80°, in order of rising 2θ:
2θ 23.92, intensity 644; 2θ 25.62, intensity 1000; 2θ 27.91, intensity 393; 2θ 28.40, intensity 707; 2θ 35.14, intensity 547; 2θ 38.53, intensity 463

Cell lengths 7.356, 7.356, 10.646 Å; angles 90.00, 90.00, 90.00 degrees
Fractional positions:
Ba 0.250 0.750 0.250
Ba 0.750 0.250 0.750
Na 0.008 0.250 0.159
Na 0.250 0.008 0.659
Na 0.250 0.492 0.659
Na 0.492 0.250 0.159
Na 0.508 0.750 0.841
Na 0.750 0.508 0.341
Na 0.750 0.992 0.341
Na 0.992 0.750 0.841
Sn 0.053 0.250 0.458
Sn 0.250 0.053 0.958
Sn 0.250 0.447 0.958
Sn 0.447 0.250 0.458
Sn 0.553 0.750 0.542
Sn 0.750 0.553 0.042
Sn 0.750 0.947 0.042
Sn 0.947 0.750 0.542

---

Record 5
Simulated powder XRD pattern of Ba2Na3Sn2 for Cu Kα X-rays, from a cell relaxed with PBE.
Neutral-atom scattering factors, no anomalous dispersion.

Most intense lines, 2θ from 10° to 80°, in order of rising 2θ:
2θ 17.75, intensity 648; 2θ 23.03, intensity 538; 2θ 27.47, intensity 492; 2θ 28.21, intensity 818; 2θ 30.92, intensity 566; 2θ 32.31, intensity 1000

Cell lengths 6.614, 6.614, 8.030 Å; angles 104.36, 104.36, 49.55 degrees
Fractional positions:
Ba 0.150 0.150 0.284
Ba 0.850 0.850 0.716
Na 0.373 0.373 0.065
Na 0.500 0.500 0.500
Na 0.627 0.627 0.935
Sn 0.149 0.149 0.733
Sn 0.851 0.851 0.267

---

Record 6
Simulated powder XRD pattern of BaNa2SnTe4 for Cu Kα X-rays, from a cell relaxed with PBE.
Neutral-atom scattering factors, no anomalous dispersion.

Most intense lines, 2θ from 10° to 80°, in order of rising 2θ:
2θ 11.13, intensity 345; 2θ 27.02, intensity 528; 2θ 27.35, intensity 1000; 2θ 36.09, intensity 213; 2θ 38.83, intensity 749; 2θ 45.66, intensity 209

Cell lengths 9.325, 9.325, 9.325 Å; angles 124.87, 115.48, 89.89 degrees
Fractional positions:
Ba 0.000 0.000 0.000
Ba 0.500 0.000 0.500
Na 0.000 0.500 0.500
Na 0.500 0.000 0.000
Na 0.500 0.500 0.000
Na 0.500 0.500 0.500
Sn 0.000 0.000 0.500
Sn 0.000 0.500 0.000
Te 0.209 0.740 0.469
Te 0.229 0.260 0.969
Te 0.238 0.259 0.520
Te 0.238 0.718 0.980
Te 0.762 0.282 0.020
Te 0.762 0.741 0.480
Te 0.771 0.740 0.031
Te 0.791 0.260 0.531

---

Record 7
Simulated powder XRD pattern of BaNaTlSn2 for Cu Kα X-rays, from a cell relaxed with PBE.
Neutral-atom scattering factors, no anomalous dispersion.

Most intense lines, 2θ from 10° to 80°, in order of rising 2θ:
2θ 18.94, intensity 528; 2θ 26.77, intensity 592; 2θ 28.54, intensity 1000; 2θ 35.90, intensity 580; 2θ 38.12, intensity 460; 2θ 53.36, intensity 354

Cell lengths 7.572, 7.572, 7.572 Å; angles 141.42, 141.42, 55.71 degrees
Fractional positions:
Ba 0.000 0.000 0.000
Na 0.250 0.750 0.500
Tl 0.750 0.250 0.500
Sn 0.393 0.393 0.000
Sn 0.607 0.607 0.000

---

Record 8
Simulated powder XRD pattern of Ba8Na2Sr3 for Cu Kα X-rays, from a cell relaxed with PBE.
Neutral-atom scattering factors, no anomalous dispersion.

Most intense lines, 2θ from 10° to 80°, in order of rising 2θ:
2θ 24.52, intensity 441; 2θ 24.78, intensity 804; 2θ 25.53, intensity 1000; 2θ 26.07, intensity 488; 2θ 36.09, intensity 311; 2θ 44.69, intensity 253

Cell lengths 8.529, 6.837, 12.995 Å; angles 90.00, 97.88, 90.00 degrees
Fractional positions:
Ba 0.027 0.000 0.343
Ba 0.220 0.500 0.921
Ba 0.287 0.500 0.262
Ba 0.439 0.000 0.819
Ba 0.561 0.000 0.181
Ba 0.713 0.500 0.738
Ba 0.780 0.500 0.079
Ba 0.973 0.000 0.657
Na 0.147 0.000 0.077
Na 0.853 0.000 0.923
Sr 0.234 0.500 0.585
Sr 0.500 0.000 0.500
Sr 0.766 0.500 0.415

---

Record 9
Simulated powder XRD pattern of Ba5NaSr5 for Cu Kα X-rays, from a cell relaxed with PBE.
Neutral-atom scattering factors, no anomalous dispersion.

Most intense lines, 2θ from 10° to 80°, in order of rising 2θ:
2θ 23.33, intensity 1000; 2θ 23.54, intensity 991; 2θ 26.78, intensity 524; 2θ 27.99, intensity 453; 2θ 41.26, intensity 420; 2θ 48.17, intensity 301

Cell lengths 7.557, 7.557, 14.077 Å; angles 90.00, 90.00, 120.00 degrees
Fractional positions:
Ba 0.000 0.000 0.000
Ba 0.333 0.667 0.320
Ba 0.333 0.667 0.680
Ba 0.667 0.333 0.191
Ba 0.667 0.333 0.809
Na 0.333 0.667 0.000
Sr 0.000 0.000 0.266
Sr 0.000 0.000 0.734
Sr 0.339 0.169 0.500
Sr 0.831 0.169 0.500
Sr 0.831 0.661 0.500

---

Record 10
Simulated powder XRD pattern of Ba4NaSr for Cu Kα X-rays, from a cell relaxed with PBE.
Neutral-atom scattering factors, no anomalous dispersion.

Most intense lines, 2θ from 10° to 80°, in order of rising 2θ:
2θ 22.57, intensity 359; 2θ 24.56, intensity 1000; 2θ 25.60, intensity 451; 2θ 25.91, intensity 440; 2θ 28.83, intensity 379; 2θ 29.02, intensity 408

Cell lengths 7.279, 7.279, 13.770 Å; angles 115.66, 115.66, 33.37 degrees
Fractional positions:
Ba 0.155 0.155 0.344
Ba 0.338 0.338 0.163
Ba 0.662 0.662 0.837
Ba 0.845 0.845 0.656
Na 0.500 0.500 0.500
Sr 0.000 0.000 0.000

---

Record 11
Simulated powder XRD pattern of Ba3Na2Sr7 for Cu Kα X-rays, from a cell relaxed with PBE.
Neutral-atom scattering factors, no anomalous dispersion.

Most intense lines, 2θ from 10° to 80°, in order of rising 2θ:
2θ 24.72, intensity 510; 2θ 25.21, intensity 379; 2θ 25.44, intensity 1000; 2θ 27.50, intensity 346; 2θ 29.71, intensity 311; 2θ 41.05, intensity 272

Cell lengths 7.219, 4.268, 21.623 Å; angles 90.00, 92.47, 90.00 degrees
Fractional positions:
Ba 0.000 0.000 0.000
Ba 0.235 0.500 0.352
Ba 0.765 0.500 0.648
Na 0.262 0.000 0.702
Na 0.738 0.000 0.298
Sr 0.129 0.500 0.838
Sr 0.255 0.000 0.537
Sr 0.366 0.000 0.167
Sr 0.500 0.500 0.000
Sr 0.634 0.000 0.833
Sr 0.745 0.000 0.463
Sr 0.871 0.500 0.162

---

Record 12
Simulated powder XRD pattern of Ba5Na5Sr for Cu Kα X-rays, from a cell relaxed with PBE.
Neutral-atom scattering factors, no anomalous dispersion.

Most intense lines, 2θ from 10° to 80°, in order of rising 2θ:
2θ 18.95, intensity 860; 2θ 24.28, intensity 1000; 2θ 26.47, intensity 727; 2θ 27.24, intensity 438; 2θ 38.35, intensity 540; 2θ 39.61, intensity 340

Cell lengths 10.571, 10.571, 9.072 Å; angles 90.03, 90.03, 36.08 degrees
Fractional positions:
Ba 0.000 0.000 0.000
Ba 0.363 0.363 0.243
Ba 0.363 0.363 0.758
Ba 0.637 0.637 0.242
Ba 0.637 0.637 0.757
Na 0.194 0.194 0.500
Na 0.197 0.197 0.000
Na 0.500 0.500 0.500
Na 0.803 0.803 0.000
Na 0.806 0.806 0.500
Sr 0.000 0.000 0.500